[1]
Structure and theoretical powder XRD pattern of Sm6IrRh5 (a structure optimized by DFT (GGA-PBE); Cu Kα, 1.54184 Å).

Structural model:
Cell lengths 7.831, 7.831, 6.997 Å; angles 90.00, 90.00, 143.12 degrees
Fractional coordinates of all 12 atoms:
Sm 0.000 0.000 0.248
Sm 0.000 0.000 0.752
Sm 0.334 0.666 0.250
Sm 0.334 0.666 0.750
Sm 0.666 0.334 0.250
Sm 0.666 0.334 0.750
Ir 0.500 0.500 0.000
Rh 0.166 0.834 0.500
Rh 0.169 0.831 0.000
Rh 0.500 0.500 0.500
Rh 0.831 0.169 0.000
Rh 0.834 0.166 0.500

Main lines, low angle first (2θ = 10–90°):
- 25.4 deg, I 15
- 36.3 deg, I 1000
- 52.3 deg, I 175
- 59.0 deg, I 7
- 65.3 deg, I 357
- 77.0 deg, I 111
- 88.2 deg, I 107
- 88.3 deg, I 54

***

[2]
Structure and theoretical powder XRD pattern of NdYEr5Th2 (a structure optimized by DFT (GGA-PBE); Cu Kα, 1.54184 Å).

Structural model:
Cell lengths 9.871, 9.871, 9.871 Å; angles 127.43, 127.43, 77.55 degrees
Fractional coordinates of all 18 atoms:
Nd 0.250 0.750 0.500
Nd 0.750 0.250 0.500
Y 0.250 0.250 0.000
Y 0.750 0.750 0.000
Er 0.000 0.000 0.000
Er 0.069 0.569 0.916
Er 0.153 0.069 0.500
Er 0.347 0.847 0.916
Er 0.431 0.347 0.500
Er 0.500 0.500 0.000
Er 0.569 0.653 0.500
Er 0.653 0.153 0.084
Er 0.847 0.931 0.500
Er 0.931 0.431 0.084
Th 0.119 0.381 0.500
Th 0.381 0.881 0.261
Th 0.619 0.119 0.739
Th 0.881 0.619 0.500

Main lines, low angle first (2θ = 10–90°):
- 28.7 deg, I 875
- 28.9 deg, I 513
- 31.0 deg, I 1000
- 34.5 deg, I 260
- 37.2 deg, I 222
- 37.6 deg, I 315
- 43.0 deg, I 281
- 52.5 deg, I 195

***

[3]
Structure and theoretical powder XRD pattern of Li3Ac2SmSn4 (a structure optimized by DFT (GGA-PBE); Cu Kα, 1.54184 Å).

Structural model:
Cell lengths 4.738, 4.738, 12.251 Å; angles 90.00, 90.00, 90.00 degrees
Fractional coordinates of all 10 atoms:
Li 0.000 0.000 0.000
Li 0.000 0.500 0.621
Li 0.500 0.000 0.379
Ac 0.000 0.500 0.275
Ac 0.500 0.000 0.725
Sm 0.500 0.500 0.000
Sn 0.000 0.000 0.500
Sn 0.000 0.500 0.842
Sn 0.500 0.000 0.158
Sn 0.500 0.500 0.500

Main lines, low angle first (2θ = 10–90°):
- 20.1 deg, I 230
- 23.7 deg, I 313
- 28.9 deg, I 289
- 30.4 deg, I 1000
- 34.9 deg, I 180
- 38.0 deg, I 396
- 41.5 deg, I 170
- 64.0 deg, I 258